Computed PXRD pattern
Compound: CuNi5Pt6
Radiation: Cu Ka
Structure: a crystal structure in Alexandria, relaxed with GGA-PBE
Peak positions follow from Bragg's law for the DFT cell and can differ from measured ones.

```
data_CuNi5Pt6
_space_group_name_H-M_alt 'I m m m'
_space_group_IT_number 71
_space_group_name_Hall '-I 2 2'
_cell_length_a 3.8613
_cell_length_b 7.2606
_cell_length_c 11.5780
_cell_angle_alpha 90.00
_cell_angle_beta 90.00
_cell_angle_gamma 90.00
loop_
_atom_site_label
_atom_site_type_symbol
_atom_site_fract_x
_atom_site_fract_y
_atom_site_fract_z
Cu1 Cu 0.0000 0.0000 0.0000
Ni1 Ni 0.0000 0.0000 0.3325
Ni2 Ni 0.0000 0.5000 0.0000
Ni3 Ni 0.0000 0.5000 0.3335
Pt1 Pt 0.0000 0.2464 0.5000
Pt2 Pt 0.0000 0.2515 0.1673
```

Largest 10 diffraction maxima, low angle first, 2θ = 10–90°:
- 24.5 deg, rel. 23, (0 2 0)
- 32.8 deg, rel. 22, (1 0 3)
- 41.4 deg, rel. 100, (1 2 3)
- 47.1 deg, rel. 35, (2 0 0)
- 50.3 deg, rel. 14, (0 4 0)
- 53.8 deg, rel. 12, (2 2 0)
- 71.3 deg, rel. 20, (2 4 0)
- 83.5 deg, rel. 13, (3 2 3)
- 83.6 deg, rel. 13, (1 2 9)
- 88.4 deg, rel. 12, (1 6 3)

Computed PXRD pattern
Compound: Sr4CaO5
Radiation: Cu Ka
Structure: a crystal structure in Alexandria, relaxed with GGA-PBE
Peak positions follow from Bragg's law for the DFT cell and can differ from measured ones.

```
data_Sr4CaO5
_space_group_name_H-M_alt 'I 4/m'
_space_group_IT_number 87
_space_group_name_Hall '-I 4'
_cell_length_a 8.1172
_cell_length_b 8.1172
_cell_length_c 5.1452
_cell_angle_alpha 90.00
_cell_angle_beta 90.00
_cell_angle_gamma 90.00
loop_
_atom_site_label
_atom_site_type_symbol
_atom_site_fract_x
_atom_site_fract_y
_atom_site_fract_z
Sr1 Sr 0.1007 0.7022 0.0000
Ca1 Ca 0.0000 0.0000 0.5000
O1 O 0.0000 0.0000 0.0000
O2 O 0.0954 0.7100 0.5000
```

Largest 10 diffraction maxima, low angle first, 2θ = 10–90°:
- 30.1 deg, rel. 84, (1 2 1)
- 34.9 deg, rel. 100, (0 0 2)
- 50.2 deg, rel. 66, (3 1 2)
- 59.6 deg, rel. 13, (1 2 3)
- 59.7 deg, rel. 26, (5 0 1)
- 62.6 deg, rel. 22, (2 4 2)
- 73.8 deg, rel. 7, (6 2 0)
- 81.7 deg, rel. 17, (3 6 1)
- 84.2 deg, rel. 9, (3 1 4)
- 84.4 deg, rel. 18, (6 2 2)

Question: Number 2 is which compound?
Answer: Sr4CaO5